# CoP2O7
Simulated X-ray powder pattern, Cu Kα, 1.54184 Å. Input: a PBE+U-relaxed structure.
No peak broadening, texture or thermal motion is included.

Structure:
Cell: 6.654 8.015 4.585 Å, 90.00 100.99 90.00°
Space group C2 (No. 5)
Symmetry-distinct sites (fractional):
Co: 0.000 0.000 0.000 [2 per cell]
P: 0.200 0.347 0.412 [4 per cell]
O: 0.000 0.432 0.500 [2 per cell]
O: 0.141 0.180 0.267 [4 per cell]
O: 0.141 0.831 0.301 [4 per cell]
O: 0.232 0.974 0.803 [4 per cell]

Peak list (6 most intense, 15° ≤ 2θ ≤ 90°, low angle first)
- 2θ = 17.51°, I = 92.0, hkl 1 1 0
- 2θ = 22.18°, I = 62.3, hkl 0 2 0
- 2θ = 24.44°, I = 36.4, hkl 1 1 -1
- 2θ = 28.41°, I = 100.0, hkl 1 1 1
- 2θ = 29.85°, I = 71.8, hkl 0 2 1
- 2θ = 30.60°, I = 68.7, hkl 2 0 -1